Starting from a DFT-relaxed cell (GGA-PBE, Alexandria), the powder diffraction line list of TbCdRu was calculated for Cu Kα (weighted mean of Kα1 and Kα2).
Kinematic intensities with the Lorentz-polarization factor, no thermal factor.

Structural model:
```
data_TbCdRu
_chemical_formula_sum 'Tb4 Cd4 Ru4'
_cell_length_a 12.788
_cell_length_b 4.279
_cell_length_c 5.148
_cell_angle_alpha 90.00
_cell_angle_beta 102.20
_cell_angle_gamma 90.00
_space_group_name_H-M_alt 'C 1 2/m 1'
_space_group_IT_number 12
loop_
_space_group_symop_operation_xyz
'x,y,z'
'-x,-y,-z'
'-x,y,-z'
'x,-y,z'
'x+1/2,y+1/2,z'
'-x+1/2,-y+1/2,-z'
'-x+1/2,y+1/2,-z'
'x+1/2,-y+1/2,z'
loop_
_atom_site_label
_atom_site_fract_x
_atom_site_fract_y
_atom_site_fract_z
Tb1 0.133 0.000 0.332
Cd1 0.071 0.500 0.779
Ru1 0.225 0.000 0.886
```

Peak list (8 most intense, 10° ≤ 2θ ≤ 90°, by intensity)
d_spacing	2theta	I/Imax
2.757	32.5	1000
2.985	29.9	685
2.412	37.3	487
2.086	43.4	467
2.139	42.2	459
2.526	35.5	388
3.054	29.2	353
2.074	43.6	307